This entry pairs a crystal structure of Pm3Nd2Sm3 with its calculated powder diffractogram. Radiation: Cu Kα, 1.54184 Å. Structure: a structure optimized by DFT (PBE).
Intensities are scaled so that the largest is 1000.

Structural model:
abc: 5.916 6.109 8.740
angles: 110.25 109.63 90.25
Space group P-1 (No. 2)
Symmetry-distinct sites (fractional):
Pm1 0.000 0.000 0.000 x1
Pm2 0.132 0.686 0.264 x2
Nd1 0.250 0.316 0.500 x2
Sm1 0.370 0.921 0.738 x2
Sm2 0.500 0.500 0.000 x1

Largest 10 diffraction maxima, by intensity, 2θ from 10° to 90°:
two_theta	I/Imax	(hkl)
31.44	1000	1 -1 2
30.21	414	2 0 -1
31.53	334	1 1 -3
29.24	298	0 2 -1
54.42	213	3 -1 1
57.36	129	2 0 3
47.53	113	0 0 4
42.45	109	2 -2 0
42.64	107	2 2 -2
33.48	106	1 -2 0


This entry pairs a crystal structure of Pm6Nd3Sm2 with its calculated powder diffractogram. Radiation: Cu Kα, 1.54184 Å. Structure: a structure optimized by DFT (PBE).
Intensities are scaled so that the largest is 1000.

Structural model:
abc: 3.6531 3.6531 98.4726
angles: 90.00 90.00 120.00
Space group R-3m (No. 166, hexagonal axes)
Symmetry-distinct sites (fractional):
Pm1 0.0000 0.0000 0.0914 x6
Pm2 0.0000 0.0000 0.1818 x6
Pm3 0.0000 0.0000 0.3638 x6
Nd1 0.0000 0.0000 0.0000 x3
Nd2 0.0000 0.0000 0.2725 x6
Sm1 0.0000 0.0000 0.4548 x6

Largest 8 diffraction maxima, by intensity, 2θ from 10° to 90°:
two_theta	I/Imax	(hkl)
29.95	1000	0 1 11
34.72	507	1 0 22
59.32	432	2 0 11
49.92	363	1 1 0
81.14	176	1 2 11
83.71	163	2 1 22
62.24	124	0 2 22
73.28	57	2 0 44


This entry pairs a crystal structure of Pm4Nd2Sm3 with its calculated powder diffractogram. Radiation: Cu Kα, 1.54184 Å. Structure: a structure optimized by DFT (PBE).
Intensities are scaled so that the largest is 1000.

Structural model:
abc: 3.6542 3.6542 27.1633
angles: 90.00 90.00 120.00
Space group P3m1 (No. 156)
Symmetry-distinct sites (fractional):
Pm1 0.0000 0.0000 0.0000 x1
Pm2 0.0000 0.0000 0.2165 x1
Pm3 0.3333 0.6667 0.3250 x1
Pm4 0.3333 0.6667 0.5434 x1
Nd1 0.0000 0.0000 0.6530 x1
Nd2 0.0000 0.0000 0.8713 x1
Sm1 0.0000 0.0000 0.4343 x1
Sm2 0.3333 0.6667 0.1053 x1
Sm3 0.3333 0.6667 0.7650 x1

Largest 10 diffraction maxima, by intensity, 2θ from 10° to 90°:
two_theta	I/Imax	(hkl)
32.75	1000	1 0 5
31.18	644	0 1 4
29.60	490	0 0 9
28.20	465	1 0 0
59.11	416	1 1 9
49.91	373	1 1 0
55.56	319	0 1 14
41.34	303	1 0 9
60.99	168	2 0 5
82.59	143	2 1 5


This entry pairs a crystal structure of PmNd6Sm3 with its calculated powder diffractogram. Radiation: Cu Kα, 1.54184 Å. Structure: a structure optimized by DFT (PBE).
Intensities are scaled so that the largest is 1000.

Structural model:
abc: 10.0849 10.0849 11.9806
angles: 90.00 90.00 120.00
Space group R32 (No. 155, hexagonal axes)
Symmetry-distinct sites (fractional):
Pm1 0.0000 0.0000 0.0000 x3
Nd1 0.0000 0.3268 0.0000 x9
Nd2 0.0000 0.6734 0.5000 x9
Sm1 0.0000 0.0000 0.2507 x6
Sm2 0.0000 0.0000 0.5000 x3

Largest 10 diffraction maxima, by intensity, 2θ from 10° to 90°:
two_theta	I/Imax	(hkl)
30.71	1000	3 0 0
28.51	641	1 1 3
53.26	220	4 1 3
42.40	217	2 2 3
54.60	195	3 3 0
31.58	166	1 0 4
40.67	150	2 1 4
55.83	128	3 0 6
63.96	120	6 0 0
48.32	112	1 3 4


This entry pairs a crystal structure of Pm2NdSm6 with its calculated powder diffractogram. Radiation: Cu Kα, 1.54184 Å. Structure: a structure optimized by DFT (PBE).
Intensities are scaled so that the largest is 1000.

Structural model:
abc: 17.312 9.956 3.538
angles: 90.00 90.08 90.00
Space group C2/m (No. 12)
Symmetry-distinct sites (fractional):
Pm1 0.167 0.000 0.000 x4
Nd1 0.000 0.500 0.000 x2
Sm1 0.000 0.167 0.500 x4
Sm2 0.167 0.333 0.499 x8

Largest 10 diffraction maxima, by intensity, 2θ from 10° to 90°:
two_theta	I/Imax	(hkl)
30.99	1000	6 0 0
31.09	544	3 3 0
55.22	249	9 3 0
44.41	182	6 2 1
61.50	155	6 0 2
55.33	101	0 6 0
61.57	96	3 3 2
55.12	95	9 1 1
44.51	88	0 4 1
79.09	75	9 3 2


This entry pairs a crystal structure of PmNd12Sm2 with its calculated powder diffractogram. Radiation: Cu Kα, 1.54184 Å. Structure: a structure optimized by DFT (PBE).
Intensities are scaled so that the largest is 1000.

Structural model:
abc: 7.235 11.701 25.191
angles: 90.00 90.00 90.00
Space group Cmme (No. 67)
Symmetry-distinct sites (fractional):
Pm1 0.000 0.250 0.001 x4
Nd1 0.000 0.002 0.925 x8
Nd2 0.000 0.024 0.440 x8
Nd3 0.230 0.250 0.583 x8
Nd4 0.248 0.250 0.130 x8
Nd5 0.250 0.000 0.199 x8
Nd6 0.250 0.000 0.326 x8
Sm1 0.000 0.250 0.273 x4
Sm2 0.000 0.250 0.732 x4

Largest 10 diffraction maxima, by intensity, 2θ from 10° to 90°:
two_theta	I/Imax	(hkl)
32.33	1000	0 2 8
29.89	744	2 2 2
30.56	738	0 4 0
29.13	535	0 2 7
36.19	401	2 2 6
57.06	235	2 4 11
28.45	234	2 0 4
30.95	231	2 2 3
60.15	208	4 4 0
55.45	201	0 6 8


This entry pairs a crystal structure of Pm4Nd3Sm4 with its calculated powder diffractogram. Radiation: Cu Kα, 1.54184 Å. Structure: a structure optimized by DFT (PBE).
Intensities are scaled so that the largest is 1000.

Structural model:
abc: 10.849 5.820 12.197
angles: 90.00 90.00 90.00
Space group Amm2 (No. 38)
Symmetry-distinct sites (fractional):
Pm1 0.000 0.000 0.000 x2
Pm2 0.211 0.000 0.795 x4
Pm3 0.500 0.000 0.931 x2
Nd1 0.000 0.000 0.296 x2
Nd2 0.296 0.000 0.448 x4
Sm1 0.000 0.000 0.595 x2
Sm2 0.298 0.000 0.145 x4
Sm3 0.500 0.000 0.658 x2

Largest 10 diffraction maxima, by intensity, 2θ from 10° to 90°:
two_theta	I/Imax	(hkl)
31.50	1000	2 1 3
30.73	383	0 2 0
30.00	317	3 1 1
55.12	206	2 3 3
30.45	166	1 0 4
33.03	153	4 0 0
61.15	146	3 1 7
61.36	136	5 2 4
45.73	123	4 2 0
43.81	123	1 2 4


This entry pairs a crystal structure of PmNd6Sm8 with its calculated powder diffractogram. Radiation: Cu Kα, 1.54184 Å. Structure: a structure optimized by DFT (PBE).
Intensities are scaled so that the largest is 1000.

Structural model:
abc: 9.5967 9.5967 6.6215
angles: 90.00 90.00 120.00
Space group P-3 (No. 147)
Symmetry-distinct sites (fractional):
Pm1 0.0000 0.0000 0.0000 x1
Nd1 0.0860 0.4374 0.8334 x6
Sm1 0.0299 0.2795 0.3333 x6
Sm2 0.3333 0.6667 0.3811 x2

Largest 10 diffraction maxima, by intensity, 2θ from 10° to 90°:
two_theta	I/Imax	(hkl)
31.52	1000	3 -2 1
32.87	532	1 1 2
25.30	264	2 0 1
28.41	256	2 1 0
32.31	231	3 0 0
49.76	188	3 2 1
29.03	188	1 0 2
50.31	139	1 4 0
60.59	116	6 -2 1
63.93	110	6 -5 1